# ScAl6Fe6
Calculated X-ray powder pattern, Cu Kα. Input: a crystal structure in the Materials Project, relaxed with PBE.

Cell and atoms:
Cell: 6.497 6.497 6.497 Å, 135.17 99.21 97.52°
Sites, in units of the cell vectors:
Sc: 0.000 0.000 0.000
Al: 0.182 0.682 0.500
Al: 0.332 0.000 0.332
Al: 0.343 0.343 0.000
Al: 0.657 0.657 0.000
Al: 0.668 0.000 0.668
Al: 0.818 0.318 0.500
Fe: 0.000 0.000 0.500
Fe: 0.000 0.500 0.000
Fe: 0.241 0.500 0.741
Fe: 0.500 0.000 0.000
Fe: 0.500 0.500 0.500
Fe: 0.759 0.500 0.259

Top 12 peaks for 10° ≤ 2θ ≤ 90°, in order of rising 2θ:
2θ/deg	intensity
20.72	23
21.10	69
29.74	22
42.16	100
42.36	71
42.96	45
47.59	89
47.64	42
48.16	19
61.77	36
77.11	19
78.32	19

# SnF3
Calculated X-ray powder pattern, Cu Kα. Input: a crystal structure in the Materials Project, relaxed with PBE.

Cell and atoms:
Cell: 6.223 6.223 6.223 Å, 60.00 60.00 60.00°
Sites, in units of the cell vectors:
Sn: 0.000 0.000 0.000
Sn: 0.500 0.500 0.500
F: 0.229 0.229 0.771
F: 0.229 0.771 0.229
F: 0.229 0.771 0.771
F: 0.771 0.229 0.229
F: 0.771 0.229 0.771
F: 0.771 0.771 0.229

Top 12 peaks for 10° ≤ 2θ ≤ 90°, in order of rising 2θ:
2θ/deg	intensity
20.18	100
28.69	43
35.33	7
41.02	25
46.13	44
50.82	19
59.41	15
63.41	21
67.28	10
74.73	5
78.35	10
81.92	12

# EuAgBi
Calculated X-ray powder pattern, Cu Kα. Input: a crystal structure in the Materials Project, relaxed with PBE.

Cell and atoms:
Cell: 4.972 4.972 8.137 Å, 90.00 90.00 120.00°
Sites, in units of the cell vectors:
Eu: 0.000 0.000 0.000
Eu: 0.000 0.000 0.500
Ag: 0.333 0.667 0.250
Ag: 0.667 0.333 0.750
Bi: 0.333 0.667 0.750
Bi: 0.667 0.333 0.250

Top 12 peaks for 10° ≤ 2θ ≤ 90°, in order of rising 2θ:
2θ/deg	intensity
21.85	11
23.37	12
30.22	100
36.13	71
42.62	11
44.54	13
47.80	28
58.64	35
61.35	27
64.97	13
82.19	14
84.56	11

# CaSn2O4
Calculated X-ray powder pattern, Cu Kα. Input: a crystal structure in the Materials Project, relaxed with PBE.

Cell and atoms:
Cell: 6.699 6.699 24.565 Å, 101.46 101.46 57.37°
Sites, in units of the cell vectors:
Ca: 0.000 0.000 0.000
Ca: 0.031 0.031 0.594
Ca: 0.128 0.128 0.876
Ca: 0.257 0.257 0.752
Ca: 0.275 0.275 0.346
Ca: 0.501 0.501 0.501
Ca: 0.743 0.743 0.249
Ca: 0.874 0.874 0.125
Sn: 0.000 0.500 0.000
Sn: 0.218 0.218 0.158
Sn: 0.242 0.746 0.250
Sn: 0.255 0.757 0.750
Sn: 0.375 0.375 0.617
Sn: 0.474 0.474 0.908
Sn: 0.500 0.000 0.000
Sn: 0.501 0.999 0.499
Sn: 0.527 0.527 0.092
Sn: 0.619 0.619 0.366
Sn: 0.726 0.726 0.664
Sn: 0.746 0.242 0.250
Sn: 0.757 0.255 0.750
Sn: 0.781 0.781 0.840
Sn: 0.970 0.970 0.413
Sn: 0.999 0.501 0.499
O: 0.045 0.045 0.202
O: 0.057 0.057 0.700
O: 0.071 0.582 0.194
O: 0.075 0.589 0.703
O: 0.163 0.675 0.057
O: 0.184 0.648 0.556
O: 0.197 0.197 0.045
O: 0.204 0.204 0.551
O: 0.299 0.299 0.953
O: 0.300 0.300 0.450
O: 0.317 0.837 0.453
O: 0.326 0.838 0.945
O: 0.415 0.933 0.807
O: 0.426 0.896 0.306
O: 0.441 0.441 0.301
O: 0.455 0.455 0.794
O: 0.544 0.544 0.207
O: 0.568 0.568 0.707
O: 0.582 0.071 0.194
O: 0.589 0.075 0.703
O: 0.648 0.184 0.556
O: 0.675 0.163 0.057
O: 0.698 0.698 0.541
O: 0.703 0.703 0.049
O: 0.803 0.803 0.957
O: 0.813 0.813 0.456
O: 0.837 0.317 0.453
O: 0.838 0.326 0.945
O: 0.896 0.426 0.306
O: 0.933 0.415 0.807
O: 0.940 0.940 0.292
O: 0.965 0.965 0.799

Top 12 peaks for 10° ≤ 2θ ≤ 90°, in order of rising 2θ:
2θ/deg	intensity
15.57	49
24.14	72
26.69	57
29.05	63
29.87	65
30.07	69
31.44	60
31.59	100
31.97	68
47.94	66
53.00	57
54.98	57

# NaAlS2O19
Calculated X-ray powder pattern, Cu Kα. Input: a crystal structure in the Materials Project, relaxed with PBE.

Cell and atoms:
Cell: 11.609 11.609 8.416 Å, 102.44 102.44 44.79°
Sites, in units of the cell vectors:
Na: 0.000 0.000 0.000
Na: 0.000 0.000 0.500
Al: 0.000 0.500 0.000
Al: 0.500 0.000 0.500
S: 0.108 0.643 0.529
S: 0.357 0.892 0.971
S: 0.643 0.108 0.029
S: 0.892 0.357 0.471
O: 0.008 0.706 0.007
O: 0.024 0.346 0.447
O: 0.080 0.715 0.931
O: 0.080 0.787 0.609
O: 0.116 0.439 0.198
O: 0.118 0.634 0.352
O: 0.186 0.370 0.904
O: 0.213 0.920 0.891
O: 0.256 0.489 0.605
O: 0.285 0.920 0.569
O: 0.294 0.992 0.493
O: 0.326 0.674 0.250
O: 0.346 0.024 0.947
O: 0.366 0.882 0.148
O: 0.370 0.186 0.404
O: 0.376 0.577 0.119
O: 0.423 0.624 0.381
O: 0.439 0.116 0.698
O: 0.489 0.256 0.105
O: 0.511 0.744 0.895
O: 0.561 0.884 0.302
O: 0.577 0.376 0.619
O: 0.624 0.423 0.881
O: 0.630 0.814 0.596
O: 0.634 0.118 0.852
O: 0.654 0.976 0.053
O: 0.674 0.326 0.750
O: 0.706 0.008 0.507
O: 0.715 0.080 0.431
O: 0.744 0.511 0.395
O: 0.787 0.080 0.109
O: 0.814 0.630 0.096
O: 0.882 0.366 0.648
O: 0.884 0.561 0.802
O: 0.920 0.213 0.391
O: 0.920 0.285 0.069
O: 0.976 0.654 0.553
O: 0.992 0.294 0.993

Top 12 peaks for 10° ≤ 2θ ≤ 90°, in order of rising 2θ:
2θ/deg	intensity
17.78	41
20.07	100
21.12	90
21.72	96
22.85	25
23.78	100
24.31	29
26.41	57
32.57	37
32.97	25
34.37	34
36.50	24

# La6OsI10
Calculated X-ray powder pattern, Cu Kα. Input: a crystal structure in the Materials Project, relaxed with PBE.

Cell and atoms:
Cell: 8.191 10.137 10.165 Å, 107.69 97.23 105.48°
Sites, in units of the cell vectors:
La: 0.032 0.217 0.416
La: 0.117 0.543 0.263
La: 0.363 0.635 0.679
La: 0.637 0.365 0.321
La: 0.883 0.457 0.737
La: 0.968 0.783 0.584
Os: 0.000 0.500 0.500
I: 0.086 0.870 0.319
I: 0.207 0.238 0.148
I: 0.259 0.585 0.961
I: 0.356 0.959 0.772
I: 0.454 0.319 0.588
I: 0.546 0.681 0.412
I: 0.644 0.041 0.228
I: 0.741 0.415 0.039
I: 0.793 0.762 0.852
I: 0.914 0.130 0.681

Top 12 peaks for 10° ≤ 2θ ≤ 90°, in order of rising 2θ:
2θ/deg	intensity
10.84	20
11.51	18
26.94	100
27.63	91
27.80	93
38.46	35
38.51	33
39.44	66
39.73	67
48.53	17
48.81	17
49.33	18

What did the fifth record say?
# NaAlS2O19
Calculated X-ray powder pattern, Cu Kα. Input: a crystal structure in the Materials Project, relaxed with PBE.

Cell and atoms:
Cell: 11.609 11.609 8.416 Å, 102.44 102.44 44.79°
Sites, in units of the cell vectors:
Na: 0.000 0.000 0.000
Na: 0.000 0.000 0.500
Al: 0.000 0.500 0.000
Al: 0.500 0.000 0.500
S: 0.108 0.643 0.529
S: 0.357 0.892 0.971
S: 0.643 0.108 0.029
S: 0.892 0.357 0.471
O: 0.008 0.706 0.007
O: 0.024 0.346 0.447
O: 0.080 0.715 0.931
O: 0.080 0.787 0.609
O: 0.116 0.439 0.198
O: 0.118 0.634 0.352
O: 0.186 0.370 0.904
O: 0.213 0.920 0.891
O: 0.256 0.489 0.605
O: 0.285 0.920 0.569
O: 0.294 0.992 0.493
O: 0.326 0.674 0.250
O: 0.346 0.024 0.947
O: 0.366 0.882 0.148
O: 0.370 0.186 0.404
O: 0.376 0.577 0.119
O: 0.423 0.624 0.381
O: 0.439 0.116 0.698
O: 0.489 0.256 0.105
O: 0.511 0.744 0.895
O: 0.561 0.884 0.302
O: 0.577 0.376 0.619
O: 0.624 0.423 0.881
O: 0.630 0.814 0.596
O: 0.634 0.118 0.852
O: 0.654 0.976 0.053
O: 0.674 0.326 0.750
O: 0.706 0.008 0.507
O: 0.715 0.080 0.431
O: 0.744 0.511 0.395
O: 0.787 0.080 0.109
O: 0.814 0.630 0.096
O: 0.882 0.366 0.648
O: 0.884 0.561 0.802
O: 0.920 0.213 0.391
O: 0.920 0.285 0.069
O: 0.976 0.654 0.553
O: 0.992 0.294 0.993

Top 12 peaks for 10° ≤ 2θ ≤ 90°, in order of rising 2θ:
2θ/deg	intensity
17.78	41
20.07	100
21.12	90
21.72	96
22.85	25
23.78	100
24.31	29
26.41	57
32.57	37
32.97	25
34.37	34
36.50	24